1.
For Tb6Ru2O, the GGA-PBE geometry in Alexandria gives the calculated X-ray diffraction stick pattern in this record (copper Kα).

Structural model:
```
18
Lattice="6.413 0.000 0.000 0.000 7.164 0.000 -6.246 0.000 9.281" Properties=species:S:1:pos:R:3 pbc="T T T"
Tb -1.949 1.219 4.083
Tb -5.073 2.363 8.723
Tb -1.026 4.896 4.052
Tb -4.149 5.849 8.692
Tb 0.819 0.314 2.357
Tb -2.304 3.268 6.997
Tb 2.470 3.896 2.283
Tb -0.653 6.850 6.924
Tb 4.316 1.314 0.589
Tb 1.193 2.267 5.229
Tb 5.239 4.801 0.558
Tb 2.116 5.945 5.198
Ru -3.291 0.727 6.930
Ru -0.168 2.854 2.290
Ru 0.335 4.309 6.991
Ru 3.458 6.436 2.351
O 0.083 0.000 4.640
O 3.207 3.582 0.000
```

Principal peaks in the range 2θ from 10° to 80°, by intensity:
d_spacing, I_rel
2.805, 100
2.835, 82
2.582, 73
2.926, 60
2.767, 57
2.614, 49
2.778, 49
2.604, 47
2.341, 34
2.320, 33

---

2.
For Tb3RuO6, the GGA-PBE geometry in Alexandria gives the calculated X-ray diffraction stick pattern in this record (copper Kα).

Structural model:
```
20
Lattice="4.928 2.845 3.205 -4.928 2.845 3.205 0.000 -5.690 3.205" Properties=species:S:1:pos:R:3 pbc="T T T"
Tb -2.527 -2.436 4.804
Tb -3.373 0.971 4.812
Tb 0.846 -3.407 4.812
Tb -0.846 3.407 4.804
Tb 3.373 -0.971 4.804
Tb 2.527 2.436 4.812
Ru 0.000 0.000 0.000
Ru 0.000 0.000 4.808
O -1.190 -4.185 4.128
O -4.219 -1.062 5.488
O -1.765 -0.367 3.806
O -3.029 3.123 4.128
O 1.201 -1.345 3.806
O -0.564 -1.713 5.809
O 0.564 1.713 3.806
O -1.201 1.345 5.809
O 3.029 -3.123 5.488
O 1.765 0.367 5.809
O 4.219 1.062 4.128
O 1.190 4.185 5.488
```

Principal peaks in the range 2θ from 10° to 80°, by intensity:
d_spacing, I_rel
3.059, 100
2.679, 68
1.928, 49
3.205, 39
1.863, 34
1.610, 21
1.652, 17
1.529, 16
2.687, 15
2.124, 13

---

3.
For TbRuO3, the GGA-PBE geometry in Alexandria gives the calculated X-ray diffraction stick pattern in this record (copper Kα).

Structural model:
```
10
Lattice="6.004 0.000 0.000 0.000 3.648 0.000 -2.175 0.000 5.843" Properties=species:S:1:pos:R:3 pbc="T T T"
Tb 0.443 0.912 2.392
Tb 3.386 2.736 3.452
Ru -0.170 2.736 5.753
Ru 3.999 0.912 0.090
O -0.309 2.736 3.737
O -0.883 0.912 5.814
O 1.733 2.736 1.882
O 2.096 0.912 3.961
O 4.711 2.736 0.029
O 4.137 0.912 2.106
```

Principal peaks in the range 2θ from 10° to 80°, by intensity:
d_spacing, I_rel
2.951, 100
2.813, 47
1.720, 46
3.066, 43
2.522, 36
3.490, 30
2.922, 30
1.824, 24
2.304, 22
2.228, 21

---

4.
For TcRuO4, the GGA-PBE geometry in Alexandria gives the calculated X-ray diffraction stick pattern in this record (copper Kα).

Structural model:
```
12
Lattice="-3.380 3.380 2.880 3.380 -3.380 2.880 3.380 3.380 -2.880" Properties=species:S:1:pos:R:3 pbc="T T T"
Tc 0.000 0.000 0.000
Tc 0.000 3.380 1.440
Ru 3.380 0.000 1.637
Ru 0.000 0.000 3.077
O 2.054 0.000 0.068
O 4.706 0.000 0.068
O 3.380 2.054 -1.372
O 0.000 1.326 1.507
O 1.454 3.380 0.184
O 1.926 0.000 3.063
O 3.380 1.926 1.624
O 0.000 1.454 4.503
```

Principal peaks in the range 2θ from 10° to 80°, by intensity:
d_spacing, I_rel
3.380, 100
2.467, 63
1.717, 56
2.390, 19
1.690, 18
1.394, 17
1.512, 15
1.204, 11
1.325, 9
1.440, 5

---

5.
For TlRu3O12, the GGA-PBE geometry in Alexandria gives the calculated X-ray diffraction stick pattern in this record (copper Kα).

Structural model:
```
32
Lattice="4.615 2.664 10.531 -4.615 2.664 10.531 0.000 -5.329 10.531" Properties=species:S:1:pos:R:3 pbc="T T T"
Tl 0.000 0.000 0.000
Tl 0.000 0.000 15.797
Ru -1.358 -2.585 12.574
Ru -3.055 -0.196 17.839
Ru -1.559 2.468 12.574
Ru 1.698 -2.548 17.839
Ru 2.917 0.116 12.574
Ru 1.358 2.744 17.839
O -1.765 0.908 7.118
O 0.096 -1.983 7.118
O -0.440 -2.500 11.105
O -2.670 -1.033 16.371
O -3.198 -1.328 19.146
O -1.945 1.631 11.105
O -0.449 -1.895 13.880
O -2.876 -1.778 23.396
O -1.416 1.336 13.880
O -1.739 0.886 18.130
O 0.102 -1.949 18.130
O 1.669 1.075 7.118
O -0.096 -1.983 22.914
O -1.669 1.075 22.914
O 2.230 -1.796 16.371
O 2.385 0.869 11.105
O 1.865 0.559 13.880
O 0.440 2.829 16.371
O 2.750 -2.106 19.146
O 1.637 1.063 18.130
O 0.449 3.434 19.146
O -0.102 3.380 23.396
O 2.978 -1.602 23.396
O 1.765 0.908 22.914
```

Principal peaks in the range 2θ from 10° to 80°, by intensity:
d_spacing, I_rel
4.227, 100
7.132, 96
3.471, 76
5.618, 35
2.664, 33
5.266, 26
2.794, 23
3.566, 22
2.399, 19
2.113, 18

---

6.
For Tl2RuO4, the GGA-PBE geometry in Alexandria gives the calculated X-ray diffraction stick pattern in this record (copper Kα).

Structural model:
```
14
Lattice="8.771 0.000 0.000 0.000 9.262 0.000 -4.378 0.000 4.631" Properties=species:S:1:pos:R:3 pbc="T T T"
Tl 0.000 2.314 0.000
Tl 0.000 6.948 0.000
Tl 4.386 2.317 0.000
Tl 4.386 6.944 0.000
Ru 6.582 0.000 2.314
Ru 2.196 4.631 2.314
O -1.180 0.000 3.806
O 1.184 3.141 2.311
O 1.184 6.121 2.311
O 3.211 4.631 0.826
O 3.205 4.631 3.806
O 5.569 1.490 2.311
O 5.569 7.772 2.311
O 7.597 0.000 0.826
```

Principal peaks in the range 2θ from 10° to 80°, by intensity:
d_spacing, I_rel
3.184, 100
3.275, 46
1.873, 43
4.631, 35
5.248, 24
1.822, 22
2.316, 22
2.624, 21
4.386, 17
2.071, 16

---

7.
For TlRu3O, the GGA-PBE geometry in Alexandria gives the calculated X-ray diffraction stick pattern in this record (copper Kα).

Structural model:
```
5
Lattice="4.163 0.000 0.000 0.000 4.163 0.000 0.000 0.000 4.163" Properties=species:S:1:pos:R:3 pbc="T T T"
Tl 0.000 0.000 0.000
Ru 0.000 2.081 2.081
Ru 2.081 0.000 2.081
Ru 2.081 2.081 0.000
O 2.081 2.081 2.081
```

Principal peaks in the range 2θ from 10° to 80°, by intensity:
d_spacing, I_rel
2.403, 100
2.081, 56
1.255, 38
1.472, 36
2.944, 14
1.202, 12
4.163, 7
1.699, 6
1.862, 4
1.316, 2

---

8.
For Tl2Ru3O8, the GGA-PBE geometry in Alexandria gives the calculated X-ray diffraction stick pattern in this record (copper Kα).

Structural model:
```
26
Lattice="5.879 0.000 0.000 -2.939 5.091 0.000 0.000 0.000 14.961" Properties=species:S:1:pos:R:3 pbc="T T T"
Tl 0.000 3.394 0.000
Tl 0.000 3.394 5.568
Tl 2.939 1.697 7.480
Tl 2.939 1.697 13.048
Ru 0.000 1.814 10.158
Ru -1.369 4.184 10.158
Ru 1.571 0.907 2.677
Ru 1.369 4.184 10.158
Ru 4.308 0.907 2.677
Ru 2.939 3.278 2.677
O 0.000 0.000 3.664
O 0.000 0.000 11.144
O -1.361 2.608 11.343
O 0.000 1.599 1.734
O -1.555 4.292 1.734
O 1.384 0.799 9.214
O 0.000 3.394 8.837
O 1.361 2.608 11.343
O 0.000 4.966 11.343
O 2.939 0.125 3.862
O 1.578 2.483 3.862
O 2.939 1.697 1.356
O 1.555 4.292 1.734
O 4.494 0.799 9.214
O 2.939 3.493 9.214
O 4.301 2.483 3.862
```

Principal peaks in the range 2θ from 10° to 80°, by intensity:
d_spacing, I_rel
3.563, 100
2.736, 40
1.939, 38
2.510, 27
4.209, 25
1.795, 23
5.091, 19
1.578, 17
2.939, 16
1.470, 13

---

9.
For UTl2Ru3O12, the GGA-PBE geometry in Alexandria gives the calculated X-ray diffraction stick pattern in this record (copper Kα).

Structural model:
```
18
Lattice="3.610 2.084 6.286 -3.610 2.084 6.286 0.000 -4.169 6.286" Properties=species:S:1:pos:R:3 pbc="T T T"
U 0.000 0.000 0.000
Tl 0.000 0.000 6.593
Tl 0.000 0.000 12.264
Ru -3.610 0.000 9.428
Ru -1.805 1.042 3.143
Ru 1.805 1.042 3.143
O -2.251 -1.300 9.208
O 0.000 -2.439 5.114
O -2.113 1.220 5.114
O 0.000 -2.600 9.649
O -2.251 1.300 9.649
O -2.113 -1.220 13.743
O 2.113 1.220 5.114
O 2.251 -1.300 9.208
O 0.000 2.600 9.208
O 2.113 -1.220 13.743
O 0.000 2.439 13.743
O 2.251 1.300 9.649
```

Principal peaks in the range 2θ from 10° to 80°, by intensity:
d_spacing, I_rel
3.131, 100
3.610, 32
1.978, 30
3.143, 26
1.805, 23
2.370, 19
1.565, 19
1.333, 15
1.812, 15
2.968, 14